# 1
The following is a theoretical PXRD pattern of Sc3Si6Pt20. It was derived from a crystal structure in Alexandria, relaxed with PBE, using copper Kα.

Structure:
```
29
Lattice="0.0000 6.1251 6.1251 6.1251 0.0000 6.1251 6.1251 6.1251 0.0000" Properties=species:S:1:pos:R:3 pbc="T T T"
Sc 0.0000 0.0000 0.0000
Sc 3.0625 3.0625 3.0625
Sc 9.1876 9.1876 9.1876
Si 6.1251 6.1251 3.3005
Si 6.1251 3.3005 6.1251
Si 8.9496 6.1251 6.1251
Si 3.3005 6.1251 6.1251
Si 6.1251 8.9496 6.1251
Si 6.1251 6.1251 8.9496
Pt 2.0982 2.0982 0.0000
Pt 4.0269 4.0269 0.0000
Pt 2.0982 0.0000 2.0982
Pt 6.1251 4.0269 2.0982
Pt 4.0269 0.0000 4.0269
Pt 6.1251 2.0982 4.0269
Pt 7.5968 4.6534 4.6534
Pt 0.0000 2.0982 2.0982
Pt 4.0269 6.1251 2.0982
Pt 4.0269 2.0982 6.1251
Pt 4.6534 4.6534 4.6534
Pt 7.5968 7.5968 4.6534
Pt 7.5968 4.6534 7.5968
Pt 4.6534 7.5968 4.6534
Pt 4.6534 4.6534 7.5968
Pt 7.5968 7.5968 7.5968
Pt 0.0000 4.0269 4.0269
Pt 2.0982 6.1251 4.0269
Pt 2.0982 4.0269 6.1251
Pt 4.6534 7.5968 7.5968
```

Main lines, low angle first (15° ≤ 2θ ≤ 90°):
20.51°, I = 15
32.69°, I = 15
38.17°, I = 100
41.71°, I = 16
43.72°, I = 44
44.37°, I = 21
64.55°, I = 19
66.05°, I = 14
68.51°, I = 15
76.14°, I = 16

***

# 2
The following is a theoretical PXRD pattern of Pr7Y4Sc. It was derived from a crystal structure in Alexandria, relaxed with PBE, using copper Kα.

Structure:
```
12
Lattice="6.2974 0.0000 0.0000 0.0000 7.3316 0.0000 -2.0877 0.0000 8.8022" Properties=species:S:1:pos:R:3 pbc="T T T"
Pr 0.0000 0.0000 0.0000
Pr -0.0151 3.6658 5.8702
Pr 0.0468 0.0000 5.8408
Pr 3.1487 1.8717 0.0000
Pr 3.1487 5.4599 0.0000
Pr 4.1629 0.0000 2.9614
Pr 4.2248 3.6658 2.9321
Y 1.0445 1.8620 2.9011
Y 1.0445 5.4696 2.9011
Y 3.1652 1.8620 5.9012
Y 3.1652 5.4696 5.9012
Sc 0.0000 3.6658 0.0000
```

Main lines, low angle first (15° ≤ 2θ ≤ 90°):
28.37°, I = 35
30.47°, I = 74
31.31°, I = 100
31.49°, I = 48
32.98°, I = 86
33.10°, I = 42
39.47°, I = 23
50.07°, I = 37
56.84°, I = 26
59.75°, I = 43

***

# 3
The following is a theoretical PXRD pattern of CsSiAu3. It was derived from a crystal structure in Alexandria, relaxed with PBE, using copper Kα.

Structure:
```
10
Lattice="6.7070 0.0000 0.0000 0.2515 6.8507 0.0000 2.5257 3.2799 5.5610" Properties=species:S:1:pos:R:3 pbc="T T T"
Cs 1.7646 2.2651 0.0467
Cs 7.7197 7.8656 5.5144
Si 2.2325 5.7802 2.1040
Si 7.2517 4.3504 3.4570
Au 2.8700 3.5157 3.0972
Au 4.3469 9.0092 5.2705
Au 3.8193 7.5301 2.7218
Au 5.6649 2.6005 2.8392
Au 5.1374 1.1215 0.2906
Au 6.6142 6.6150 2.4638
```

Main lines, low angle first (15° ≤ 2θ ≤ 90°):
15.01°, I = 48
18.36°, I = 43
29.03°, I = 100
30.90°, I = 71
31.03°, I = 40
31.28°, I = 56
32.19°, I = 95
33.81°, I = 63
37.53°, I = 39
38.46°, I = 45

***

# 4
The following is a theoretical PXRD pattern of BiPb4Se5. It was derived from a crystal structure in Alexandria, relaxed with PBE, using copper Kα.

Structure:
```
10
Lattice="-2.1966 2.1966 15.4259 2.1966 -2.1966 15.4259 2.1966 2.1966 -15.4259" Properties=species:S:1:pos:R:3 pbc="T T T"
Bi 0.0000 0.0000 0.0000
Pb 0.0000 0.0000 6.1826
Pb 0.0000 0.0000 12.3511
Pb 0.0000 0.0000 18.5007
Pb 0.0000 0.0000 24.6693
Se 0.0000 0.0000 3.0199
Se 0.0000 0.0000 9.2411
Se 0.0000 0.0000 15.4259
Se 0.0000 0.0000 21.6107
Se 0.0000 0.0000 27.8320
```

Main lines, low angle first (15° ≤ 2θ ≤ 90°):
24.88°, I = 53
28.74°, I = 100
28.94°, I = 49
41.09°, I = 39
41.24°, I = 76
48.64°, I = 19
51.04°, I = 41
67.41°, I = 18
67.52°, I = 18
74.98°, I = 27